1.
Starting from DFT lattice parameters and positions (PBE), the X-ray powder pattern of Er7Pd2Pb2 was computed for Cu Kα.
Lines closer than 0.1° are merged.

Main lines, sorted by position (2θ from 5° to 70°):
hkl  Position (°2θ)  intensity
0 2 1  20.46  23
2 0 1  24.87  40
2 2 0  26.95  31
1 1 2  28.55  42
0 2 2  30.00  26
0 4 0  32.64  60
1 3 2  36.92  36
2 2 2  37.16  100
4 0 0  43.65  18
0 0 4  51.53  27
2 6 2  61.24  19
0 4 4  62.35  28

Crystal structure
Lattice parameters (Å, degrees): 8.2952 10.9744 7.0945 90.00 90.00 90.00
Space group Cmmm (No. 65)
Unique sites:
1 Er 0.0000 0.0000 0.0000 (multiplicity 2)
2 Er 0.0000 0.5000 0.2361 (multiplicity 4)
3 Er 0.2500 0.2500 0.2487 (multiplicity 8)
4 Pd 0.0000 0.2851 0.0000 (multiplicity 4)
5 Pb 0.1873 0.0000 0.5000 (multiplicity 4)

2.
Starting from DFT lattice parameters and positions (PBE), the X-ray powder pattern of MgIn3Hg3 was computed for Cu Kα.
Lines closer than 0.1° are merged.

Main lines, sorted by position (2θ from 5° to 70°):
hkl  Position (°2θ)  intensity
1 1 0  15.76  14
2 0 2  23.19  14
1 1 2  23.40  15
4 0 0  31.19  38
0 0 4  34.78  28
2 2 2  36.39  100
4 0 -4  47.32  12
4 0 4  47.49  12
6 2 -2  58.88  13
6 2 2  58.99  12
2 2 -6  63.35  9
2 2 6  63.45  9

Crystal structure
Lattice parameters (Å, degrees): 11.4713 6.4524 10.3189 90.00 90.19 90.00
Space group C2/m (No. 12)
Unique sites:
1 Mg 0.2482 0.0000 0.9999 (multiplicity 4)
2 In 0.0000 0.2560 0.5000 (multiplicity 4)
3 In 0.0000 0.2593 0.0000 (multiplicity 4)
4 In 0.2453 0.5000 0.4999 (multiplicity 4)
5 Hg 0.0000 0.0000 0.2516 (multiplicity 4)
6 Hg 0.2501 0.2499 0.2383 (multiplicity 8)

3.
Starting from DFT lattice parameters and positions (PBE), the X-ray powder pattern of SnPb2O4 was computed for Cu Kα.
Lines closer than 0.1° are merged.

Main lines, sorted by position (2θ from 5° to 70°):
hkl  Position (°2θ)  intensity
2 1 1  26.23  100
0 0 2  27.53  9
1 1 2  31.03  20
3 1 0  31.72  32
2 0 2  34.20  15
4 1 1  44.13  12
4 2 0  45.47  7
2 1 3  47.89  20
4 0 2  49.62  18
3 3 2  51.84  22
5 2 1  57.42  15
3 1 4  66.56  8

Crystal structure
Lattice parameters (Å, degrees): 8.9203 8.9203 6.4807 90.00 90.00 90.00
Space group P4_2/mbc (No. 135)
Unique sites:
1 Sn 0.0000 0.5000 0.2500 (multiplicity 4)
2 Pb 0.1429 0.1636 0.0000 (multiplicity 8)
3 O 0.0956 0.6236 0.0000 (multiplicity 8)
4 O 0.1650 0.3350 0.2500 (multiplicity 8)

4.
Starting from DFT lattice parameters and positions (PBE), the X-ray powder pattern of Hg2Pb5 was computed for Cu Kα.
Lines closer than 0.1° are merged.

Main lines, sorted by position (2θ from 5° to 70°):
hkl  Position (°2θ)  intensity
1 0 5  28.43  2
1 0 7  31.51  100
1 0 9  35.23  3
1 1 0  35.45  39
0 0 14  38.65  12
1 1 12  49.17  3
2 0 0  51.00  14
1 1 14  53.44  19
1 0 19  59.74  4
2 1 7  61.19  31
1 0 21  65.50  7
2 0 14  65.78  10

Crystal structure
Lattice parameters (Å, degrees): 3.5813 3.5813 32.6175 90.00 90.00 90.00
Space group I4/mmm (No. 139)
Unique sites:
1 Hg 0.0000 0.0000 0.2201 (multiplicity 4)
2 Pb 0.0000 0.0000 0.0768 (multiplicity 4)
3 Pb 0.0000 0.0000 0.3498 (multiplicity 4)
4 Pb 0.0000 0.0000 0.5000 (multiplicity 2)

5.
Starting from DFT lattice parameters and positions (PBE), the X-ray powder pattern of Rb3U2ZnTe6 was computed for Cu Kα.
Lines closer than 0.1° are merged.

Main lines, sorted by position (2θ from 5° to 70°):
hkl  Position (°2θ)  intensity
0 0 1  10.48  37
2 0 -2  26.70  100
1 3 2  33.67  18
1 3 -3  36.45  32
0 6 0  39.72  39
3 3 0  41.19  9
2 0 3  45.67  11
2 6 -2  48.50  19
4 0 -4  55.00  9
3 3 -5  59.85  8
5 3 -3  64.42  17
4 6 -4  69.95  9

Crystal structure
Lattice parameters (Å, degrees): 7.8622 13.6134 8.8416 90.00 107.30 90.00
Space group C2/m (No. 12)
Unique sites:
1 Rb 0.0000 0.0000 0.0000 (multiplicity 2)
2 Rb 0.0000 0.3322 0.0000 (multiplicity 4)
3 U 0.0000 0.1664 0.5000 (multiplicity 4)
4 Zn 0.0000 0.5000 0.5000 (multiplicity 2)
5 Te 0.2264 0.3374 0.6913 (multiplicity 8)
6 Te 0.2380 0.0000 0.6929 (multiplicity 4)

6.
Starting from DFT lattice parameters and positions (PBE), the X-ray powder pattern of Mg3Ru was computed for Cu Kα.
Lines closer than 0.1° are merged.

Main lines, sorted by position (2θ from 5° to 70°):
hkl  Position (°2θ)  intensity
1 1 0  17.19  76
1 1 1  25.47  16
0 2 1  25.94  28
2 0 0  29.59  13
2 2 0  34.78  16
0 4 0  36.23  45
0 0 2  37.81  36
2 2 1  39.75  100
0 4 1  41.01  33
1 1 2  41.81  16
2 6 0  64.18  13
2 2 3  69.58  18

Crystal structure
Lattice parameters (Å, degrees): 6.0376 9.9295 4.7584 90.00 90.00 90.00
Space group Cmcm (No. 63)
Unique sites:
1 Mg 0.0000 0.0946 0.2500 (multiplicity 4)
2 Mg 0.2378 0.3434 0.2500 (multiplicity 8)
3 Ru 0.0000 0.4127 0.7500 (multiplicity 4)

7.
Starting from DFT lattice parameters and positions (PBE), the X-ray powder pattern of In2Sn2S was computed for Cu Kα.
Lines closer than 0.1° are merged.

Main lines, sorted by position (2θ from 5° to 70°):
hkl  Position (°2θ)  intensity
1 1 0  16.46  11
2 0 0  23.36  11
2 1 1  32.34  100
3 1 0  37.34  21
0 0 2  37.87  16
4 0 0  47.77  5
3 3 0  50.87  10
4 1 1  53.20  16
3 1 2  54.24  14
2 1 3  64.94  13
3 3 2  65.13  9
5 2 1  69.33  14

Crystal structure
Lattice parameters (Å, degrees): 7.6159 7.6159 4.7510 90.00 90.00 90.00
Space group P4/mbm (No. 127)
Unique sites:
1 In 0.1523 0.3477 0.0000 (multiplicity 4)
2 Sn 0.1641 0.6641 0.5000 (multiplicity 4)
3 S 0.0000 0.0000 0.5000 (multiplicity 2)

Repeat the second record exactly.
Starting from DFT lattice parameters and positions (PBE), the X-ray powder pattern of MgIn3Hg3 was computed for Cu Kα.
Lines closer than 0.1° are merged.

Main lines, sorted by position (2θ from 5° to 70°):
hkl  Position (°2θ)  intensity
1 1 0  15.76  14
2 0 2  23.19  14
1 1 2  23.40  15
4 0 0  31.19  38
0 0 4  34.78  28
2 2 2  36.39  100
4 0 -4  47.32  12
4 0 4  47.49  12
6 2 -2  58.88  13
6 2 2  58.99  12
2 2 -6  63.35  9
2 2 6  63.45  9

Crystal structure
Lattice parameters (Å, degrees): 11.4713 6.4524 10.3189 90.00 90.19 90.00
Space group C2/m (No. 12)
Unique sites:
1 Mg 0.2482 0.0000 0.9999 (multiplicity 4)
2 In 0.0000 0.2560 0.5000 (multiplicity 4)
3 In 0.0000 0.2593 0.0000 (multiplicity 4)
4 In 0.2453 0.5000 0.4999 (multiplicity 4)
5 Hg 0.0000 0.0000 0.2516 (multiplicity 4)
6 Hg 0.2501 0.2499 0.2383 (multiplicity 8)